No. 1
For Th2Al2C3, a cell relaxed with PBE gives the theoretical XRD peak list in this record (Cu Kα).

Peak list (8 most intense, 10° ≤ 2θ ≤ 90°, low angle first)
hkl 1 2 0, 22.4°, I = 100; hkl 0 1 1, 26.5°, I = 29; hkl 0 4 0, 30.9°, I = 33; hkl 1 1 1, 31.3°, I = 93; hkl 2 1 0, 33.9°, I = 35; hkl 0 3 1, 34.5°, I = 66; hkl 2 2 1, 45.0°, I = 31; hkl 1 5 1, 50.1°, I = 41

Cell and atoms:
Cell lengths 5.433, 11.590, 3.513 Å; angles 90.00, 90.00, 90.00 degrees
Space group Pnnm (No. 58)
Asymmetric unit:
Th  0.179  0.149  0.000 [4 per cell]
Al  0.186  0.414  0.000 [4 per cell]
C  0.000  0.000  0.500 [2 per cell]
C  0.172  0.311  0.500 [4 per cell]

***

No. 2
For LuPd2Pb, a cell relaxed with PBE gives the theoretical XRD peak list in this record (Cu Kα).

Peak list (8 most intense, 10° ≤ 2θ ≤ 90°, low angle first)
hkl 2 0 0, 26.1°, I = 9; hkl 2 2 0, 37.3°, I = 100; hkl 2 2 2, 46.1°, I = 3; hkl 4 0 0, 53.7°, I = 18; hkl 4 2 0, 60.7°, I = 4; hkl 4 2 2, 67.2°, I = 36; hkl 4 4 0, 79.4°, I = 11; hkl 6 0 0, 85.3°, I = 2

Cell and atoms:
Cell lengths 6.825, 6.825, 6.825 Å; angles 90.00, 90.00, 90.00 degrees
Space group Fm-3m (No. 225)
Asymmetric unit:
Lu  0.000  0.000  0.000 [4 per cell]
Pd  0.250  0.250  0.250 [8 per cell]
Pb  0.000  0.000  0.500 [4 per cell]

***

No. 3
For Cr5Ge2N6, a cell relaxed with PBE gives the theoretical XRD peak list in this record (Cu Kα).

Peak list (8 most intense, 10° ≤ 2θ ≤ 90°, low angle first)
hkl 1 1 -3, 30.5°, I = 31; hkl 3 1 -2, 31.4°, I = 52; hkl 4 0 0, 36.6°, I = 86; hkl 2 2 0, 37.3°, I = 100; hkl 1 1 -4, 38.6°, I = 100; hkl 1 1 4, 44.8°, I = 32; hkl 5 1 -4, 51.0°, I = 43; hkl 3 1 4, 57.3°, I = 28

Cell and atoms:
Cell lengths 10.525, 5.533, 10.358 Å; angles 90.00, 110.90, 90.00 degrees
Space group C2/c (No. 15)
Asymmetric unit:
Cr  0.000  0.157  0.250 [4 per cell]
Cr  0.012  0.330  0.923 [8 per cell]
Cr  0.218  0.442  0.180 [8 per cell]
Ge  0.247  0.029  0.062 [8 per cell]
N  0.032  0.339  0.111 [8 per cell]
N  0.113  0.057  0.872 [8 per cell]
N  0.174  0.223  0.643 [8 per cell]

***

No. 4
For Sr4Ti3Nb2O15, a cell relaxed with PBE gives the theoretical XRD peak list in this record (Cu Kα).

Peak list (8 most intense, 10° ≤ 2θ ≤ 90°, low angle first)
hkl 0 1 2, 18.9°, I = 14; hkl 1 1 0, 31.8°, I = 100; hkl 0 2 10, 45.6°, I = 41; hkl 0 1 20, 56.6°, I = 10; hkl 3 0 0, 56.7°, I = 29; hkl 2 0 20, 66.4°, I = 12; hkl 2 2 0, 66.6°, I = 12; hkl 1 3 10, 75.7°, I = 8

Cell and atoms:
Cell lengths 5.6184, 5.6184, 34.5204 Å; angles 90.00, 90.00, 120.00 degrees
Space group R-3m (No. 166, hexagonal axes)
Asymmetric unit:
Sr  0.0000  0.0000  0.0990 [6 per cell]
Sr  0.0000  0.0000  0.3013 [6 per cell]
Ti  0.0000  0.0000  0.0000 [3 per cell]
Ti  0.0000  0.0000  0.3997 [6 per cell]
Nb  0.0000  0.0000  0.2003 [6 per cell]
O  0.9996  0.4998  0.3002 [18 per cell]
O  0.0000  0.5000  0.5000 [9 per cell]
O  0.0059  0.5030  0.9027 [18 per cell]

***

No. 5
For Lu3Si, a cell relaxed with PBE gives the theoretical XRD peak list in this record (Cu Kα).

Peak list (8 most intense, 10° ≤ 2θ ≤ 90°, low angle first)
hkl 1 0 1, 22.1°, I = 20; hkl 1 1 2, 34.1°, I = 100; hkl 0 0 4, 36.2°, I = 21; hkl 2 0 0, 41.1°, I = 30; hkl 2 0 4, 56.0°, I = 24; hkl 1 1 6, 63.8°, I = 16; hkl 3 1 2, 70.4°, I = 26; hkl 2 2 4, 71.8°, I = 12

Cell and atoms:
Cell lengths 4.389, 4.389, 9.915 Å; angles 90.00, 90.00, 90.00 degrees
Space group I4/mmm (No. 139)
Asymmetric unit:
Lu  0.000  0.000  0.000 [2 per cell]
Lu  0.000  0.500  0.250 [4 per cell]
Si  0.000  0.000  0.500 [2 per cell]